This entry pairs a crystal structure of KVBP2HO9 with its theoretical PXRD pattern. Radiation: Cu Kα X-rays. Structure: a cell relaxed with GGA+U.
Peak positions follow from Bragg's law for the DFT cell and can differ from measured ones.

Main lines, by angle (2θ = 10–80°):
| hkl | 2θ/deg | I/Imax |
| --- | --- | --- |
| 0 1 1 | 14.78 | 100.0 |
| 0 0 2 | 21.27 | 99.6 |
| 1 2 0 | 26.94 | 91.7 |
| 1 2 1 | 27.56 | 87.4 |
| 1 -1 2 | 28.14 | 50.9 |
| 1 -2 0 | 28.49 | 97.1 |
| 1 2 -1 | 30.40 | 43.9 |
| -1 2 1 | 31.15 | 92.5 |
| 0 1 3 | 33.54 | 53.1 |
| 1 -2 2 | 34.62 | 57.9 |

Atomic structure:
Lattice parameters (Å, degrees): 5.2427 8.2577 8.4805 87.00 80.36 86.32
Space group P-1 (No. 2)
One atom of each set of equivalent atoms:
K: 0.2221 0.3262 0.1119
V: 0.2307 0.8050 0.1958
B: 0.3757 0.7312 0.5560
P: 0.2849 0.9358 0.8124
P: 0.3032 0.4179 0.6973
H: 0.0319 0.8366 0.4993
O: 0.0153 0.9954 0.7745
O: 0.0550 0.3543 0.7939
O: 0.2052 0.8039 0.4452
O: 0.2322 0.6003 0.6548
O: 0.2542 0.8066 0.9519
O: 0.3771 0.3277 0.5366
O: 0.4449 0.0748 0.8445
O: 0.4447 0.8495 0.6622
O: 0.4721 0.5951 0.2058